Record 1
# CeVO4
Simulated PXRD pattern, Cu Kα (λ = 1.5418 Å). Input: a DFT-relaxed cell (PBE+U, the Materials Project).

Top 10 peaks for 2θ from 10° to 90°, in order of falling intensity:
- 2θ = 24.3°, rel. 1000
- 2θ = 32.4°, rel. 685
- 2θ = 48.2°, rel. 595
- 2θ = 18.2°, rel. 336
- 2θ = 34.6°, rel. 205
- 2θ = 60.7°, rel. 180
- 2θ = 49.8°, rel. 155
- 2θ = 39.4°, rel. 144
- 2θ = 56.2°, rel. 130
- 2θ = 71.8°, rel. 126

Structure:
Cell: 6.1241 6.1241 6.1241 Å, 106.55 106.55 115.50°
Fractional positions:
Ce  0.3750  0.6250  0.7500
Ce  0.6250  0.3750  0.2500
V  0.1250  0.8750  0.2500
V  0.8750  0.1250  0.7500
O  0.1280  0.6962  0.4318
O  0.2355  0.3038  0.9318
O  0.3038  0.2355  0.4318
O  0.3038  0.8720  0.0682
O  0.6962  0.1280  0.9318
O  0.6962  0.7645  0.5682
O  0.7645  0.6962  0.0682
O  0.8720  0.3038  0.5682


Record 2
# Li2CuMoF6
Simulated PXRD pattern, Cu Kα (λ = 1.5418 Å). Input: a DFT-relaxed cell (PBE+U, the Materials Project).

Top 10 peaks for 2θ from 10° to 90°, in order of falling intensity:
- 2θ = 21.2°, rel. 1000
- 2θ = 48.5°, rel. 398
- 2θ = 30.1°, rel. 393
- 2θ = 43.1°, rel. 323
- 2θ = 62.6°, rel. 183
- 2θ = 66.9°, rel. 173
- 2θ = 53.5°, rel. 159
- 2θ = 86.8°, rel. 85
- 2θ = 82.9°, rel. 74
- 2θ = 71.0°, rel. 69

Structure:
Cell: 5.9354 5.9354 5.9354 Å, 60.00 60.00 60.00°
Fractional positions:
Li  0.2500  0.2500  0.2500
Li  0.7500  0.7500  0.7500
Cu  0.0000  0.0000  0.0000
Mo  0.5000  0.5000  0.5000
F  0.2537  0.2537  0.7463
F  0.2537  0.7463  0.2537
F  0.2537  0.7463  0.7463
F  0.7463  0.2537  0.2537
F  0.7463  0.2537  0.7463
F  0.7463  0.7463  0.2537


Record 3
# SrCaDyVO6
Simulated PXRD pattern, Cu Kα (λ = 1.5418 Å). Input: a DFT-relaxed cell (PBE+U, the Materials Project).

Top 10 peaks for 2θ from 10° to 90°, in order of falling intensity:
- 2θ = 31.0°, rel. 1000
- 2θ = 55.1°, rel. 384
- 2θ = 44.4°, rel. 354
- 2θ = 18.8°, rel. 256
- 2θ = 89.9°, rel. 209
- 2θ = 64.5°, rel. 207
- 2θ = 36.5°, rel. 202
- 2θ = 73.3°, rel. 173
- 2θ = 21.8°, rel. 172
- 2θ = 48.6°, rel. 112

Structure:
Cell: 5.7758 5.7758 5.7758 Å, 60.00 60.00 60.00°
Fractional positions:
Sr  0.0000  0.0000  0.0000
Ca  0.5000  0.5000  0.5000
Dy  0.7500  0.7500  0.7500
V  0.2500  0.2500  0.2500
O  0.0184  0.0184  0.4816
O  0.0184  0.4816  0.0184
O  0.0184  0.4816  0.4816
O  0.4816  0.0184  0.0184
O  0.4816  0.0184  0.4816
O  0.4816  0.4816  0.0184


Record 4
# Mn2V2O7
Simulated PXRD pattern, Cu Kα (λ = 1.5418 Å). Input: a DFT-relaxed cell (PBE+U, the Materials Project).

Top 10 peaks for 2θ from 10° to 90°, in order of falling intensity:
- 2θ = 26.8°, rel. 1000
- 2θ = 27.0°, rel. 985
- 2θ = 31.1°, rel. 528
- 2θ = 17.7°, rel. 237
- 2θ = 52.4°, rel. 226
- 2θ = 51.8°, rel. 221
- 2θ = 61.0°, rel. 173
- 2θ = 17.4°, rel. 162
- 2θ = 35.1°, rel. 152
- 2θ = 45.8°, rel. 145

Structure:
Cell: 5.0909 5.3883 5.4780 Å, 109.36 96.01 96.27°
Fractional positions:
Mn  0.0000  0.0000  0.0000
Mn  0.0040  0.3439  0.6201
V  0.3848  0.8995  0.5752
V  0.6120  0.4158  0.0617
O  0.1603  0.7460  0.7378
O  0.2231  0.0216  0.3572
O  0.2562  0.2452  0.9023
O  0.4938  0.6195  0.3870
O  0.7075  0.1115  0.7478
O  0.7566  0.6766  0.9807
O  0.8343  0.2595  0.2398


Record 5
# RbCoCuF6
Simulated PXRD pattern, Cu Kα (λ = 1.5418 Å). Input: a DFT-relaxed cell (PBE+U, the Materials Project).

Top 10 peaks for 2θ from 10° to 90°, in order of falling intensity:
- 2θ = 28.6°, rel. 1000
- 2θ = 28.8°, rel. 643
- 2θ = 49.9°, rel. 561
- 2θ = 28.7°, rel. 299
- 2θ = 29.8°, rel. 285
- 2θ = 30.1°, rel. 284
- 2θ = 45.9°, rel. 227
- 2θ = 24.4°, rel. 213
- 2θ = 45.4°, rel. 197
- 2θ = 59.0°, rel. 177

Structure:
Cell: 7.3058 7.3058 7.3058 Å, 120.60 119.51 89.90°
Fractional positions:
Rb  0.3728  0.1228  0.2500
Rb  0.6272  0.8772  0.7500
Co  0.0000  0.5000  0.5000
Co  0.5000  0.5000  0.0000
Cu  0.0000  0.0000  0.5000
Cu  0.0000  0.5000  0.0000
F  0.0731  0.8231  0.2500
F  0.0755  0.4263  0.2567
F  0.0755  0.8188  0.6492
F  0.3211  0.5711  0.7500
F  0.3304  0.1812  0.7567
F  0.3304  0.5737  0.1492
F  0.6696  0.4263  0.8508
F  0.6696  0.8188  0.2433
F  0.6789  0.4289  0.2500
F  0.9245  0.1812  0.3508
F  0.9245  0.5737  0.7433
F  0.9269  0.1769  0.7500


Record 6
# Li3NiPCO7
Simulated PXRD pattern, Cu Kα (λ = 1.5418 Å). Input: a DFT-relaxed cell (PBE+U, the Materials Project).

Top 10 peaks for 2θ from 10° to 90°, in order of falling intensity:
- 2θ = 35.3°, rel. 1000
- 2θ = 16.7°, rel. 495
- 2θ = 19.3°, rel. 458
- 2θ = 20.2°, rel. 370
- 2θ = 26.0°, rel. 334
- 2θ = 10.4°, rel. 311
- 2θ = 24.7°, rel. 226
- 2θ = 36.9°, rel. 223
- 2θ = 25.3°, rel. 218
- 2θ = 27.6°, rel. 200

Structure:
Cell: 8.5022 6.3414 9.7693 Å, 90.00 95.05 90.00°
Fractional positions:
Li  0.1001  0.2487  0.1166
Li  0.1001  0.2513  0.6166
Li  0.2796  0.0097  0.8806
Li  0.2796  0.4903  0.3806
Li  0.3479  0.7473  0.6098
Li  0.3479  0.7527  0.1098
Li  0.6521  0.2473  0.8902
Li  0.6521  0.2527  0.3902
Li  0.7204  0.5097  0.6194
Li  0.7204  0.9903  0.1194
Li  0.8999  0.7487  0.3834
Li  0.8999  0.7513  0.8834
Ni  0.2730  0.0094  0.3748
Ni  0.2730  0.4906  0.8748
Ni  0.7270  0.5094  0.1252
Ni  0.7270  0.9906  0.6252
P  0.4092  0.2481  0.1395
P  0.4092  0.2519  0.6395
P  0.5908  0.7481  0.3605
P  0.5908  0.7519  0.8605
C  0.0386  0.7495  0.1477
C  0.0386  0.7505  0.6477
C  0.9614  0.2495  0.3523
C  0.9614  0.2505  0.8523
O  0.0693  0.7443  0.0229
O  0.0693  0.7557  0.5229
O  0.1100  0.2376  0.3196
O  0.1100  0.2624  0.8196
O  0.1483  0.7335  0.7485
O  0.1483  0.7665  0.2485
O  0.3089  0.0580  0.5842
O  0.3089  0.4420  0.0842
O  0.3155  0.0555  0.0828
O  0.3155  0.4445  0.5828
O  0.4190  0.2438  0.3006
O  0.4190  0.2562  0.8006
O  0.4199  0.7411  0.9045
O  0.4199  0.7589  0.4045
O  0.5801  0.2411  0.5955
O  0.5801  0.2589  0.0955
O  0.5810  0.7438  0.1994
O  0.5810  0.7562  0.6994
O  0.6845  0.5555  0.4172
O  0.6845  0.9445  0.9172
O  0.6911  0.5580  0.9158
O  0.6911  0.9420  0.4158
O  0.8517  0.2335  0.7515
O  0.8517  0.2665  0.2515
O  0.8900  0.7376  0.1804
O  0.8900  0.7624  0.6804
O  0.9307  0.2443  0.4771
O  0.9307  0.2557  0.9771


Record 7
# Li3Mn4O8
Simulated PXRD pattern, Cu Kα (λ = 1.5418 Å). Input: a DFT-relaxed cell (PBE+U, the Materials Project).

Top 10 peaks for 2θ from 10° to 90°, in order of falling intensity:
- 2θ = 18.3°, rel. 1000
- 2θ = 18.4°, rel. 997
- 2θ = 41.4°, rel. 837
- 2θ = 43.8°, rel. 731
- 2θ = 45.2°, rel. 670
- 2θ = 22.2°, rel. 426
- 2θ = 61.8°, rel. 409
- 2θ = 29.7°, rel. 389
- 2θ = 21.5°, rel. 380
- 2θ = 37.4°, rel. 238

Structure:
Cell: 6.0124 6.0193 8.0208 Å, 90.77 90.04 93.07°
Fractional positions:
Li  0.0000  0.0000  0.0000
Li  0.0054  0.9973  0.4993
Li  0.2455  0.7582  0.7505
Li  0.5068  0.4957  0.9999
Li  0.5140  0.4908  0.4987
Li  0.7685  0.2339  0.2492
Mn  0.0063  0.4974  0.9998
Mn  0.2545  0.7470  0.2493
Mn  0.2563  0.2500  0.7488
Mn  0.2581  0.2468  0.2490
Mn  0.5055  0.9962  0.4996
Mn  0.7532  0.7469  0.7500
Mn  0.7553  0.7439  0.2499
Mn  0.7567  0.2455  0.7493
O  0.0027  0.4770  0.7590
O  0.0088  0.5166  0.2404
O  0.0350  0.9829  0.2491
O  0.2272  0.2759  0.0015
O  0.2352  0.7265  0.0105
O  0.2735  0.7695  0.4882
O  0.2859  0.2190  0.4967
O  0.4727  0.5146  0.2496
O  0.5027  0.9757  0.2586
O  0.5085  0.0173  0.7401
O  0.5403  0.4781  0.7495
O  0.7257  0.7740  0.5026
O  0.7373  0.2245  0.5101
O  0.7763  0.2669  0.9889
O  0.7839  0.7176  0.9968
O  0.9746  0.0113  0.7493